(1)
This entry pairs a crystal structure of PaVNiGe2 with its computed powder XRD pattern. Radiation: Cu Kα (λ = 1.5418 Å). Structure: DFT lattice parameters and positions (GGA-PBE).
Intensities are scaled so that the largest is 100.

Principal peaks in the range 10 to 90 degrees two-theta, sorted by position:
2θ (°), Rel. int.
31.14, 40
33.94, 98
35.69, 100
44.62, 53
49.10, 40
57.22, 45

Structural model:
Unit cell a=5.9537 b=5.9537 c=5.9537 alpha=140.12 beta=140.12 gamma=57.68
Atoms (fractional coordinates):
Pa: 0.0000 0.0000 0.0000
V: 0.2500 0.7500 0.5000
Ni: 0.7500 0.2500 0.5000
Ge: 0.3795 0.3795 0.0000
Ge: 0.6205 0.6205 0.0000

(2)
This entry pairs a crystal structure of LiMg2 with its computed powder XRD pattern. Radiation: Cu Kα (λ = 1.5418 Å). Structure: DFT lattice parameters and positions (GGA-PBE).
Intensities are scaled so that the largest is 100.

Principal peaks in the range 10 to 90 degrees two-theta, sorted by position:
2θ (°), Rel. int.
20.56, 20
35.18, 100
39.98, 17
41.27, 32
58.81, 21
71.30, 23

Structural model:
Unit cell a=13.8805 b=13.8805 c=13.8805 alpha=161.87 beta=161.87 gamma=25.76
Atoms (fractional coordinates):
Li: 0.2924 0.5424 0.7500
Li: 0.4576 0.7076 0.7500
Li: 0.5424 0.2924 0.2500
Li: 0.7076 0.4576 0.2500
Mg: 0.0409 0.7909 0.2500
Mg: 0.1254 0.3754 0.7500
Mg: 0.2091 0.9591 0.2500
Mg: 0.3754 0.1254 0.2500
Mg: 0.6246 0.8746 0.7500
Mg: 0.7909 0.0409 0.7500
Mg: 0.8746 0.6246 0.2500
Mg: 0.9591 0.2091 0.7500

(3)
This entry pairs a crystal structure of Sn5Pb3 with its computed powder XRD pattern. Radiation: Cu Kα (λ = 1.5418 Å). Structure: DFT lattice parameters and positions (GGA-PBE).
Intensities are scaled so that the largest is 100.

Principal peaks in the range 10 to 90 degrees two-theta, sorted by position:
2θ (°), Rel. int.
30.36, 69
34.08, 100
43.48, 28
56.36, 49
63.21, 26
71.72, 24

Structural model:
Unit cell a=5.8875 b=5.8875 c=6.7902 alpha=90.00 beta=90.00 gamma=90.00
Atoms (fractional coordinates):
Sn: 0.0000 0.0000 0.0000
Sn: 0.0000 0.0000 0.5000
Sn: 0.0000 0.5000 0.2390
Sn: 0.0000 0.5000 0.7610
Sn: 0.5000 0.5000 0.0000
Pb: 0.5000 0.0000 0.2442
Pb: 0.5000 0.0000 0.7558
Pb: 0.5000 0.5000 0.5000